# 1
# K5Rb3H8
Computed powder diffraction line list, Cu Ka. Input: DFT lattice parameters and positions (PBE).
Neutral-atom scattering factors, no anomalous dispersion.

Largest 12 diffraction maxima, by intensity, 2θ = 10–80°:
- 2θ = 26.76°, d 3.332, I 100
- 2θ = 30.99°, d 2.885, I 57
- 2θ = 52.60°, d 1.740, I 42
- 2θ = 44.40°, d 2.040, I 39
- 2θ = 13.27°, d 6.670, I 14
- 2θ = 25.61°, d 3.478, I 10
- 2θ = 55.16°, d 1.665, I 10
- 2θ = 71.17°, d 1.325, I 8
- 2θ = 71.29°, d 1.323, I 8
- 2θ = 73.32°, d 1.291, I 8
- 2θ = 73.43°, d 1.290, I 8
- 2θ = 64.60°, d 1.443, I 6

```
K5Rb3H8
1.0
4.0773 2.3540 6.6740
-4.0773 2.3540 6.6740
0.0000 -4.7081 6.6740
K Rb H
5 3 8
Direct
0.0000 0.0000 0.0000
0.0000 0.5000 0.5000
0.5000 0.0000 0.5000
0.5000 0.5000 0.0000
0.5000 0.5000 0.5000
0.0000 0.0000 0.5000
0.0000 0.5000 0.0000
0.5000 0.0000 0.0000
0.2500 0.2500 0.7419
0.2500 0.7419 0.2500
0.2544 0.2544 0.2544
0.2581 0.7500 0.7500
0.7419 0.2500 0.2500
0.7456 0.7456 0.7456
0.7500 0.2581 0.7500
0.7500 0.7500 0.2581
```


# 2
# K2Rb5H6
Computed powder diffraction line list, Cu Ka. Input: DFT lattice parameters and positions (PBE).
Neutral-atom scattering factors, no anomalous dispersion.

Largest 12 diffraction maxima, by intensity, 2θ = 10–80°:
- 2θ = 24.92°, d 3.573, I 100
- 2θ = 26.87°, d 3.318, I 88
- 2θ = 28.77°, d 3.103, I 69
- 2θ = 26.22°, d 3.399, I 65
- 2θ = 26.27°, d 3.392, I 53
- 2θ = 23.05°, d 3.858, I 52
- 2θ = 50.62°, d 1.803, I 36
- 2θ = 30.97°, d 2.888, I 36
- 2θ = 52.83°, d 1.733, I 31
- 2θ = 30.83°, d 2.900, I 29
- 2θ = 12.10°, d 7.316, I 29
- 2θ = 24.79°, d 3.591, I 29

```
K2Rb5H6
1.0
5.9033 -4.5283 0.0000
5.9033 4.5283 0.0000
-2.3266 0.0000 14.6317
K Rb H
4 10 12
Direct
0.1190 0.2267 0.0372
0.2267 0.1190 0.5372
0.7733 0.8810 0.4628
0.8810 0.7733 0.9628
0.0723 0.2967 0.7835
0.2702 0.7298 0.7500
0.2967 0.0723 0.2835
0.3406 0.6021 0.4005
0.3979 0.6594 0.0995
0.6021 0.3406 0.9005
0.6594 0.3979 0.5995
0.7033 0.9277 0.7165
0.7298 0.2702 0.2500
0.9277 0.7033 0.2165
0.0392 0.9521 0.3711
0.0479 0.9608 0.1289
0.2123 0.5120 0.9346
0.2829 0.4106 0.2076
0.4106 0.2829 0.7076
0.4880 0.7877 0.5654
0.5120 0.2123 0.4346
0.5894 0.7171 0.2924
0.7171 0.5894 0.7924
0.7877 0.4880 0.0654
0.9521 0.0392 0.8711
0.9608 0.0479 0.6289
```


# 3
# K9Rb6H
Computed powder diffraction line list, Cu Ka. Input: DFT lattice parameters and positions (PBE).
Neutral-atom scattering factors, no anomalous dispersion.

Largest 12 diffraction maxima, by intensity, 2θ = 10–80°:
- 2θ = 22.98°, d 3.870, I 100
- 2θ = 26.76°, d 3.331, I 34
- 2θ = 45.06°, d 2.012, I 28
- 2θ = 37.85°, d 2.377, I 24
- 2θ = 26.26°, d 3.394, I 17
- 2θ = 44.42°, d 2.039, I 14
- 2θ = 38.21°, d 2.355, I 12
- 2θ = 46.96°, d 1.935, I 12
- 2θ = 60.00°, d 1.542, I 10
- 2θ = 68.83°, d 1.364, I 7
- 2θ = 73.87°, d 1.283, I 6
- 2θ = 60.52°, d 1.530, I 5

```
K9Rb6H
1.0
-5.2669 5.2669 10.1812
5.2669 -5.2669 10.1812
5.2669 5.2669 -10.1812
K Rb H
9 6 1
Direct
0.0000 0.0000 0.0000
0.0849 0.8764 0.6194
0.1236 0.7429 0.2084
0.2571 0.4655 0.3806
0.4655 0.0849 0.2084
0.5345 0.9151 0.7916
0.7429 0.5345 0.6194
0.8764 0.2571 0.7916
0.9151 0.1236 0.3806
0.2140 0.5966 0.8106
0.3468 0.3468 0.0000
0.4034 0.2140 0.6174
0.5966 0.7860 0.3826
0.6532 0.6532 0.0000
0.7860 0.4034 0.1894
0.5000 0.5000 0.0000
```


# 4
# K8Rb6H
Computed powder diffraction line list, Cu Ka. Input: DFT lattice parameters and positions (PBE).
Neutral-atom scattering factors, no anomalous dispersion.

Largest 12 diffraction maxima, by intensity, 2θ = 10–80°:
- 2θ = 22.84°, d 3.893, I 100
- 2θ = 26.44°, d 3.371, I 52
- 2θ = 44.54°, d 2.034, I 33
- 2θ = 37.79°, d 2.380, I 19
- 2θ = 37.68°, d 2.388, I 18
- 2θ = 44.66°, d 2.029, I 11
- 2θ = 46.61°, d 1.948, I 9
- 2θ = 59.69°, d 1.549, I 8
- 2θ = 18.11°, d 4.900, I 8
- 2θ = 61.58°, d 1.506, I 8
- 2θ = 61.42°, d 1.509, I 7
- 2θ = 68.06°, d 1.378, I 7

```
K8Rb6H
1.0
6.3170 3.6471 7.7628
-6.3170 3.6471 7.7628
0.0000 -7.2942 7.7628
K Rb H
8 6 1
Direct
0.0260 0.9103 0.2919
0.0897 0.7081 0.9740
0.2481 0.2481 0.2481
0.2919 0.0260 0.9103
0.7081 0.9740 0.0897
0.7519 0.7519 0.7519
0.9103 0.2919 0.0260
0.9740 0.0897 0.7081
0.1710 0.4725 0.6097
0.3903 0.8290 0.5275
0.4725 0.6097 0.1710
0.5275 0.3903 0.8290
0.6097 0.1710 0.4725
0.8290 0.5275 0.3903
0.0000 0.0000 0.0000
```


# 5
# KRb2SiH6
Computed powder diffraction line list, Cu Ka. Input: DFT lattice parameters and positions (PBE).
Neutral-atom scattering factors, no anomalous dispersion.

Largest 12 diffraction maxima, by intensity, 2θ = 10–80°:
- 2θ = 28.90°, d 3.090, I 100
- 2θ = 25.96°, d 3.433, I 61
- 2θ = 31.25°, d 2.863, I 59
- 2θ = 10.32°, d 8.574, I 58
- 2θ = 34.21°, d 2.621, I 44
- 2θ = 24.26°, d 3.668, I 37
- 2θ = 18.62°, d 4.765, I 33
- 2θ = 52.40°, d 1.746, I 24
- 2θ = 38.50°, d 2.338, I 21
- 2θ = 55.51°, d 1.655, I 20
- 2θ = 39.92°, d 2.258, I 20
- 2θ = 44.79°, d 2.024, I 18

```
KRb2SiH6
1.0
5.7311 0.0000 0.0000
0.0000 8.1169 0.0000
0.0000 0.0000 8.5735
K Rb Si H
2 4 2 12
Direct
0.2500 0.2500 0.0769
0.7500 0.7500 0.9231
0.2500 0.0122 0.6483
0.2500 0.4878 0.6483
0.7500 0.5122 0.3517
0.7500 0.9878 0.3517
0.2500 0.7500 0.3215
0.7500 0.2500 0.6785
0.0461 0.7500 0.1923
0.0527 0.7500 0.4615
0.2500 0.5485 0.3239
0.2500 0.9515 0.3239
0.4473 0.7500 0.4615
0.4539 0.7500 0.1923
0.5461 0.2500 0.8077
0.5527 0.2500 0.5385
0.7500 0.0485 0.6761
0.7500 0.4515 0.6761
0.9473 0.2500 0.5385
0.9539 0.2500 0.8077
```


# 6
# K2ReH9
Computed powder diffraction line list, Cu Ka. Input: DFT lattice parameters and positions (PBE).
Neutral-atom scattering factors, no anomalous dispersion.

Largest 12 diffraction maxima, by intensity, 2θ = 10–80°:
- 2θ = 18.85°, d 4.708, I 100
- 2θ = 27.28°, d 3.269, I 89
- 2θ = 19.54°, d 4.544, I 84
- 2θ = 33.36°, d 2.686, I 69
- 2θ = 32.95°, d 2.718, I 51
- 2θ = 47.13°, d 1.928, I 38
- 2θ = 38.04°, d 2.365, I 32
- 2θ = 24.95°, d 3.569, I 31
- 2θ = 51.63°, d 1.770, I 30
- 2θ = 51.34°, d 1.780, I 27
- 2θ = 32.73°, d 2.736, I 25
- 2θ = 62.23°, d 1.492, I 24

```
K2ReH9
1.0
9.4166 0.0000 0.0000
-4.7083 8.1550 0.0000
0.0000 0.0000 5.4715
K Re H
6 3 27
Direct
0.0000 0.2627 0.0000
0.0000 0.5918 0.5000
0.2627 0.0000 0.0000
0.4082 0.4082 0.5000
0.5918 0.0000 0.5000
0.7373 0.7373 0.0000
0.0000 0.0000 0.5000
0.3333 0.6667 0.0000
0.6667 0.3333 0.0000
0.0000 0.1792 0.5000
0.0000 0.8707 0.2816
0.0000 0.8707 0.7184
0.1293 0.1293 0.2816
0.1293 0.1293 0.7184
0.1395 0.6313 0.0000
0.1792 0.0000 0.5000
0.2227 0.5303 0.2267
0.2227 0.5303 0.7733
0.3076 0.7773 0.2267
0.3076 0.7773 0.7733
0.3687 0.5082 0.0000
0.4697 0.6924 0.2267
0.4697 0.6924 0.7733
0.4918 0.8605 0.0000
0.5082 0.3687 0.0000
0.5303 0.2227 0.2267
0.5303 0.2227 0.7733
0.6313 0.1395 0.0000
0.6924 0.4697 0.2267
0.6924 0.4697 0.7733
0.7773 0.3076 0.2267
0.7773 0.3076 0.7733
0.8208 0.8208 0.5000
0.8605 0.4918 0.0000
0.8707 0.0000 0.2816
0.8707 0.0000 0.7184
```


# 7
# K4H7Rh
Computed powder diffraction line list, Cu Ka. Input: DFT lattice parameters and positions (PBE).
Neutral-atom scattering factors, no anomalous dispersion.

Largest 12 diffraction maxima, by intensity, 2θ = 10–80°:
- 2θ = 12.51°, d 7.076, I 100
- 2θ = 30.44°, d 2.937, I 82
- 2θ = 31.83°, d 2.811, I 79
- 2θ = 13.54°, d 6.541, I 76
- 2θ = 29.32°, d 3.046, I 66
- 2θ = 31.08°, d 2.877, I 60
- 2θ = 39.25°, d 2.295, I 56
- 2θ = 11.16°, d 7.931, I 52
- 2θ = 27.27°, d 3.270, I 46
- 2θ = 36.52°, d 2.461, I 29
- 2θ = 34.50°, d 2.599, I 29
- 2θ = 21.51°, d 4.132, I 28

```
K4H7Rh
1.0
7.5555 -1.8089 0.0000
7.5555 1.8089 0.0000
-4.5858 0.0000 7.9305
K H Rh
4 7 1
Direct
0.0386 0.0386 0.2231
0.2121 0.2121 0.7884
0.7879 0.7879 0.2116
0.9614 0.9614 0.7769
0.0000 0.0000 0.5000
0.1434 0.1434 0.0634
0.3888 0.3888 0.5014
0.4354 0.4354 0.2894
0.5646 0.5646 0.7106
0.6112 0.6112 0.4986
0.8566 0.8566 0.9366
0.5000 0.5000 0.5000
```


# 8
# KH4Rh2
Computed powder diffraction line list, Cu Ka. Input: DFT lattice parameters and positions (PBE).
Neutral-atom scattering factors, no anomalous dispersion.

Largest 12 diffraction maxima, by intensity, 2θ = 10–80°:
- 2θ = 35.56°, d 2.525, I 100
- 2θ = 37.20°, d 2.417, I 71
- 2θ = 18.35°, d 4.834, I 62
- 2θ = 57.16°, d 1.611, I 33
- 2θ = 62.78°, d 1.480, I 32
- 2θ = 75.29°, d 1.262, I 27
- 2θ = 43.22°, d 2.093, I 25
- 2θ = 47.32°, d 1.921, I 15
- 2θ = 66.01°, d 1.415, I 11
- 2θ = 74.28°, d 1.277, I 11
- 2θ = 30.19°, d 2.960, I 8
- 2θ = 79.27°, d 1.209, I 5

```
KH4Rh2
1.0
0.0000 4.1860 4.1897
4.1837 0.0000 4.1897
4.1837 4.1860 0.0000
K H Rh
2 8 4
Direct
0.1250 0.1250 0.1250
0.8750 0.8750 0.8750
0.2854 0.2857 0.6425
0.2857 0.2854 0.2864
0.2864 0.6425 0.2857
0.3575 0.7136 0.7146
0.6425 0.2864 0.2854
0.7136 0.3575 0.7143
0.7143 0.7146 0.7136
0.7146 0.7143 0.3575
0.0000 0.5000 0.5000
0.5000 0.0000 0.5000
0.5000 0.5000 0.0000
0.5000 0.5000 0.5000
```


# 9
# K3H7Rh
Computed powder diffraction line list, Cu Ka. Input: DFT lattice parameters and positions (PBE).
Neutral-atom scattering factors, no anomalous dispersion.

Largest 12 diffraction maxima, by intensity, 2θ = 10–80°:
- 2θ = 28.97°, d 3.082, I 100
- 2θ = 29.48°, d 3.030, I 94
- 2θ = 30.12°, d 2.967, I 91
- 2θ = 17.96°, d 4.940, I 60
- 2θ = 51.26°, d 1.782, I 36
- 2θ = 52.46°, d 1.744, I 34
- 2θ = 53.41°, d 1.715, I 31
- 2θ = 40.46°, d 2.229, I 21
- 2θ = 42.38°, d 2.133, I 17
- 2θ = 43.85°, d 2.065, I 15
- 2θ = 19.91°, d 4.459, I 12
- 2θ = 60.03°, d 1.541, I 11

```
K3H7Rh
1.0
0.0000 4.4590 4.1292
4.2660 0.0000 4.1292
4.2660 4.4590 0.0000
K H Rh
3 7 1
Direct
0.0000 0.0000 0.0000
0.2398 0.2398 0.2602
0.7398 0.7398 0.7602
0.2095 0.4265 0.7905
0.2890 0.6771 0.3229
0.3486 0.7275 0.6514
0.4265 0.2095 0.5735
0.6771 0.2890 0.7110
0.6866 0.6866 0.3134
0.7275 0.3486 0.2725
0.4821 0.4821 0.5179
```


# 10
# K3H6Rh
Computed powder diffraction line list, Cu Ka. Input: DFT lattice parameters and positions (PBE).
Neutral-atom scattering factors, no anomalous dispersion.

Largest 12 diffraction maxima, by intensity, 2θ = 10–80°:
- 2θ = 30.29°, d 2.951, I 100
- 2θ = 53.80°, d 1.704, I 35
- 2θ = 18.41°, d 4.819, I 20
- 2θ = 43.36°, d 2.087, I 19
- 2θ = 71.48°, d 1.320, I 14
- 2θ = 21.29°, d 4.173, I 11
- 2θ = 63.00°, d 1.476, I 11
- 2θ = 35.68°, d 2.517, I 10
- 2θ = 48.79°, d 1.866, I 5
- 2θ = 47.48°, d 1.915, I 5
- 2θ = 57.36°, d 1.606, I 4
- 2θ = 66.24°, d 1.411, I 4

```
K3H6Rh
1.0
0.0000 4.1734 4.1734
4.1734 0.0000 4.1734
4.1734 4.1734 0.0000
K H Rh
3 6 1
Direct
0.0000 0.0000 0.0000
0.2500 0.2500 0.2500
0.7500 0.7500 0.7500
0.2995 0.2995 0.7005
0.2995 0.7005 0.2995
0.2995 0.7005 0.7005
0.7005 0.2995 0.2995
0.7005 0.2995 0.7005
0.7005 0.7005 0.2995
0.5000 0.5000 0.5000
```


# 11
# KSbH2Rh2
Computed powder diffraction line list, Cu Ka. Input: DFT lattice parameters and positions (PBE).
Neutral-atom scattering factors, no anomalous dispersion.

Largest 12 diffraction maxima, by intensity, 2θ = 10–80°:
- 2θ = 10.18°, d 8.687, I 100
- 2θ = 38.74°, d 2.324, I 25
- 2θ = 25.79°, d 3.454, I 20
- 2θ = 41.65°, d 2.169, I 15
- 2θ = 28.47°, d 3.136, I 12
- 2θ = 44.62°, d 2.031, I 11
- 2θ = 42.43°, d 2.130, I 11
- 2θ = 37.75°, d 2.383, I 11
- 2θ = 44.21°, d 2.049, I 11
- 2θ = 45.12°, d 2.010, I 9
- 2θ = 30.88°, d 2.896, I 9
- 2θ = 27.16°, d 3.283, I 9

```
KSbH2Rh2
1.0
4.3500 0.0000 0.0000
0.0000 5.7011 0.0000
-0.7336 0.0000 8.6873
K Sb H Rh
2 2 4 4
Direct
0.2467 0.2500 0.4111
0.7533 0.7500 0.5889
0.1996 0.7500 0.0801
0.8004 0.2500 0.9199
0.2398 0.2500 0.7076
0.2764 0.7500 0.7269
0.7236 0.2500 0.2731
0.7602 0.7500 0.2924
0.2928 0.0102 0.8371
0.2928 0.4898 0.8371
0.7072 0.5102 0.1629
0.7072 0.9898 0.1629
```


# 12
# K2TlH6Rh
Computed powder diffraction line list, Cu Ka. Input: DFT lattice parameters and positions (PBE).
Neutral-atom scattering factors, no anomalous dispersion.

Largest 12 diffraction maxima, by intensity, 2θ = 10–80°:
- 2θ = 17.85°, d 4.970, I 100
- 2θ = 32.41°, d 2.763, I 65
- 2θ = 31.17°, d 2.869, I 54
- 2θ = 41.58°, d 2.172, I 29
- 2θ = 22.34°, d 3.980, I 27
- 2θ = 56.25°, d 1.635, I 27
- 2θ = 45.58°, d 1.990, I 26
- 2θ = 36.15°, d 2.485, I 17
- 2θ = 26.82°, d 3.324, I 15
- 2θ = 48.46°, d 1.878, I 15
- 2θ = 58.57°, d 1.576, I 14
- 2θ = 76.54°, d 1.245, I 13

```
K2TlH6Rh
1.0
5.7387 0.0000 0.0000
-2.8694 4.9699 0.0000
0.0000 0.0000 6.6473
K Tl H Rh
2 1 6 1
Direct
0.3333 0.6667 0.1324
0.6667 0.3333 0.8676
0.0000 0.0000 0.5000
0.1367 0.2735 0.8501
0.1367 0.8633 0.8501
0.2735 0.1367 0.1499
0.7265 0.8633 0.8501
0.8633 0.1367 0.1499
0.8633 0.7265 0.1499
0.0000 0.0000 0.0000
```